The following is a simulated X-ray diffraction stick pattern of LiMnF3. It was derived from a cell relaxed with GGA+U, using Cu Kα, 1.54184 Å.
No peak broadening, texture or thermal motion is included.

a = 7.1348 Å, b = 7.1348 Å, c = 6.1761 Å
α = 114.06°, β = 114.06°, γ = 66.56°
Fractional coordinates of all 20 atoms:
Li 0.1789 0.7370 0.0144
Li 0.2167 0.7833 0.5000
Li 0.7370 0.1789 0.5144
Li 0.7833 0.2167 0.0000
Mn 0.1750 0.2907 0.4295
Mn 0.2907 0.1750 0.9295
Mn 0.6585 0.7671 0.6147
Mn 0.7671 0.6585 0.1147
F 0.0877 0.0939 0.0475
F 0.0939 0.0877 0.5475
F 0.1090 0.5489 0.2933
F 0.2121 0.4530 0.8066
F 0.3937 0.7513 0.3138
F 0.4440 0.8010 0.8270
F 0.4530 0.2121 0.3066
F 0.5489 0.1090 0.7933
F 0.7513 0.3937 0.8138
F 0.7953 0.8818 0.4640
F 0.8010 0.4440 0.3270
F 0.8818 0.7953 0.9640

Most intense lines, 2θ from 10° to 90°, sorted by position:
| Position (°2θ) | intensity |
| --- | --- |
| 17.0 | 100 |
| 22.7 | 20 |
| 28.2 | 22 |
| 28.5 | 55 |
| 32.6 | 17 |
| 40.1 | 27 |
| 40.6 | 14 |
| 41.5 | 41 |
| 41.6 | 18 |
| 53.5 | 17 |



The following is a simulated X-ray diffraction stick pattern of LiMn2F7. It was derived from a cell relaxed with GGA+U, using Cu Kα, 1.54184 Å.
No peak broadening, texture or thermal motion is included.

a = 7.2621 Å, b = 7.5976 Å, c = 9.7965 Å
α = 90.00°, β = 91.55°, γ = 90.00°
Fractional coordinates of all 40 atoms:
Li 0.1128 0.1260 0.3817
Li 0.1128 0.3740 0.8817
Li 0.8872 0.6260 0.1183
Li 0.8872 0.8740 0.6183
Mn 0.1492 0.6286 0.4288
Mn 0.1492 0.8714 0.9288
Mn 0.4160 0.6196 0.1117
Mn 0.4160 0.8804 0.6117
Mn 0.5840 0.1196 0.3883
Mn 0.5840 0.3804 0.8883
Mn 0.8508 0.1286 0.0712
Mn 0.8508 0.3714 0.5712
F 0.0021 0.7051 0.2871
F 0.0021 0.7949 0.7871
F 0.0613 0.1435 0.9557
F 0.0613 0.3565 0.4557
F 0.1766 0.5800 0.0205
F 0.1766 0.9200 0.5205
F 0.3165 0.6106 0.5760
F 0.3165 0.8894 0.0760
F 0.3266 0.5687 0.2933
F 0.3266 0.9313 0.7933
F 0.3555 0.1548 0.3133
F 0.3555 0.3452 0.8133
F 0.4844 0.1476 0.5641
F 0.4844 0.3524 0.0641
F 0.5156 0.6476 0.9359
F 0.5156 0.8524 0.4359
F 0.6445 0.6548 0.1867
F 0.6445 0.8452 0.6867
F 0.6734 0.0687 0.2067
F 0.6734 0.4313 0.7067
F 0.6835 0.1106 0.9240
F 0.6835 0.3894 0.4240
F 0.8234 0.0800 0.4795
F 0.8234 0.4200 0.9795
F 0.9387 0.6435 0.5443
F 0.9387 0.8565 0.0443
F 0.9979 0.2051 0.2129
F 0.9979 0.2949 0.7129

Most intense lines, 2θ from 10° to 90°, sorted by position:
| Position (°2θ) | intensity |
| --- | --- |
| 16.9 | 60 |
| 18.1 | 26 |
| 19.3 | 100 |
| 24.6 | 51 |
| 25.1 | 53 |
| 30.3 | 19 |
| 37.6 | 19 |
| 38.8 | 16 |
| 47.9 | 22 |
| 58.2 | 22 |